# Ni2BiBP2O10
Simulated X-ray powder pattern, λ = 1.5418 Å (Cu Kα). Input: a DFT-relaxed cell (GGA+U, Alexandria).

Principal peaks in the range 10° ≤ 2θ ≤ 90°, most intense first:
- 29.9 deg, d 2.991, I = 1000, hkl 1 3 0
- 27.6 deg, d 3.226, I = 551, hkl 1 1 1
- 16.5 deg, d 5.384, I = 424, hkl 0 1 1
- 21.4 deg, d 4.160, I = 398, hkl 0 2 1
- 30.6 deg, d 2.919, I = 373, hkl 1 1 -2
- 21.2 deg, d 4.197, I = 311, hkl 1 1 -1
- 33.3 deg, d 2.692, I = 284, hkl 0 2 2
- 29.6 deg, d 3.021, I = 259, hkl 1 0 -2

Cell and atoms:
a = 5.109 Å, b = 11.352 Å, c = 6.398 Å
α = 90.00°, β = 107.05°, γ = 90.00°
Space group P2_1/m (No. 11)
Asymmetric unit:
Ni 0.152 0.106 0.165 (multiplicity 4)
Bi 0.249 0.750 0.559 (multiplicity 2)
B 0.438 0.750 0.014 (multiplicity 2)
P 0.293 0.064 0.714 (multiplicity 4)
O 0.085 0.049 0.846 (multiplicity 4)
O 0.145 0.125 0.492 (multiplicity 4)
O 0.151 0.750 0.868 (multiplicity 2)
O 0.376 0.250 0.125 (multiplicity 2)
O 0.431 0.552 0.681 (multiplicity 4)
O 0.467 0.645 0.156 (multiplicity 4)